# 1
Li9Mn2Co5O16: computed X-ray diffraction stick pattern (CuKα), based on the PBE+U geometry in the Materials Project.
No peak broadening, texture or thermal motion is included.

The 8 most intense peaks (2θ from 5° to 70°), in order of rising 2θ:
d_spacing, 2θ/deg, intensity, (hkl)
4.829, 18.37, 1000, 0 2 0
2.571, 34.89, 184, 1 1 2
2.458, 36.55, 127, -1 1 2
2.452, 36.65, 119, 0 0 4
2.156, 41.90, 322, 1 3 2
2.042, 44.36, 265, -1 3 2
2.031, 44.63, 253, 0 2 -4
1.478, 62.86, 228, 2 0 0

Cell: 2.9615 9.8606 10.0127 Å, 78.54 87.66 87.43°
Space group P1 (No. 1)
Inequivalent atoms, fractional coordinates:
Li 0.0000 0.0000 0.0000
Li 0.0010 0.4968 0.2479
Li 0.0255 0.0038 0.5066
Li 0.4845 0.9901 0.2481
Li 0.5060 0.4966 0.0011
Li 0.5120 0.4916 0.5089
Li 0.5126 0.0069 0.7465
Li 0.9890 0.2361 0.6266
Li 0.9952 0.4905 0.7562
Mn 0.4967 0.7427 0.6286
Mn 0.5156 0.2464 0.3815
Co 0.0170 0.2501 0.1243
Co 0.0177 0.7474 0.8785
Co 0.4961 0.2468 0.8677
Co 0.5110 0.7505 0.1239
Co 0.9973 0.7449 0.3737
O 0.0232 0.8593 0.6958
O 0.0239 0.6340 0.0572
O 0.0264 0.3581 0.9452
O 0.0364 0.1424 0.3103
O 0.4767 0.1393 0.0550
O 0.4819 0.6327 0.8131
O 0.4861 0.6304 0.3070
O 0.5034 0.3610 0.7115
O 0.5045 0.8567 0.4442
O 0.5060 0.1279 0.5476
O 0.5455 0.8617 0.9413
O 0.5465 0.3603 0.1920
O 0.9672 0.1308 0.8214
O 0.9743 0.6239 0.5672
O 0.9932 0.8679 0.1871
O 0.9952 0.3561 0.4306

# 2
TiCrP2O8: computed X-ray diffraction stick pattern (CuKα), based on the PBE+U geometry in the Materials Project.
No peak broadening, texture or thermal motion is included.

The 8 most intense peaks (2θ from 5° to 70°), in order of rising 2θ:
d_spacing, 2θ/deg, intensity, (hkl)
4.314, 20.59, 1000, 1 2 1
3.720, 23.92, 523, 0 1 2
3.676, 24.21, 510, 2 2 1
3.654, 24.36, 494, 1 -1 1
2.764, 32.39, 349, -1 1 2
2.732, 32.78, 318, 3 2 1
2.710, 33.06, 285, 2 -1 1
2.488, 36.11, 291, 2 3 3

Cell: 8.5940 8.6068 8.6361 Å, 60.19 61.08 60.06°
Space group P1 (No. 1)
Inequivalent atoms, fractional coordinates:
Ti 0.0000 0.0000 0.0000
Ti 0.1266 0.2892 0.2956
Ti 0.4962 0.5012 0.5014
Cr 0.0638 0.6437 0.6489
Cr 0.5605 0.1452 0.1490
Cr 0.6351 0.7865 0.7918
P 0.3146 0.1844 0.6075
P 0.3157 0.6008 0.8976
P 0.3186 0.8936 0.1862
P 0.8098 0.3959 0.1062
P 0.8121 0.6892 0.3991
P 0.8137 0.1012 0.6895
O 0.1344 0.7619 0.9584
O 0.1344 0.9521 0.1487
O 0.1359 0.1444 0.7701
O 0.2926 0.5890 0.7345
O 0.2990 0.3808 0.5897
O 0.3062 0.7289 0.3779
O 0.3162 0.2057 0.4173
O 0.3246 0.0590 0.2100
O 0.3288 0.4048 0.0631
O 0.4947 0.6364 0.8397
O 0.4945 0.8411 0.0277
O 0.4957 0.0256 0.6398
O 0.6327 0.2643 0.6510
O 0.6331 0.6476 0.4590
O 0.6339 0.4500 0.2686
O 0.7938 0.8845 0.2333
O 0.7988 0.2293 0.0892
O 0.8067 0.0865 0.8793
O 0.8222 0.5598 0.9163
O 0.8280 0.9068 0.7066
O 0.8334 0.7007 0.5623
O 0.9901 0.1431 0.5287
O 0.9914 0.3360 0.1463
O 0.9911 0.5298 0.3372

# 3
LiCrSi2O6: computed X-ray diffraction stick pattern (CuKα), based on the PBE+U geometry in the Materials Project.
No peak broadening, texture or thermal motion is included.

The 8 most intense peaks (2θ from 5° to 70°), in order of rising 2θ:
d_spacing, 2θ/deg, intensity, (hkl)
6.101, 14.52, 1000, 1 0 0
4.298, 20.67, 423, 1 -1 0
3.425, 26.01, 413, 1 2 1
3.374, 26.42, 490, 1 1 -1
3.038, 29.40, 393, 0 1 2
2.852, 31.37, 648, 2 -1 1
2.799, 31.98, 654, 2 2 1
2.397, 37.53, 325, 1 1 3

Cell: 7.0191 7.3377 7.4071 Å, 80.93 61.84 77.29°
Space group P-1 (No. 2)
Inequivalent atoms, fractional coordinates:
Li 0.0000 0.0000 0.0000
Li 0.0894 0.2969 0.2442
Cr 0.4472 0.7284 0.7500
Cr 0.5000 0.0000 0.0000
Si 0.1863 0.6648 0.2465
Si 0.2562 0.3388 0.7835
Si 0.2959 0.8942 0.4750
O 0.0489 0.3364 0.7421
O 0.1319 0.7818 0.4473
O 0.2105 0.9288 0.7117
O 0.2500 0.5523 0.8134
O 0.2572 0.1890 0.9700
O 0.2968 0.4509 0.2581
O 0.3261 0.7956 0.0427
O 0.3610 0.0656 0.2980
O 0.4749 0.2633 0.5635

Please write out number 2 again, unchanged.
TiCrP2O8: computed X-ray diffraction stick pattern (CuKα), based on the PBE+U geometry in the Materials Project.
No peak broadening, texture or thermal motion is included.

The 8 most intense peaks (2θ from 5° to 70°), in order of rising 2θ:
d_spacing, 2θ/deg, intensity, (hkl)
4.314, 20.59, 1000, 1 2 1
3.720, 23.92, 523, 0 1 2
3.676, 24.21, 510, 2 2 1
3.654, 24.36, 494, 1 -1 1
2.764, 32.39, 349, -1 1 2
2.732, 32.78, 318, 3 2 1
2.710, 33.06, 285, 2 -1 1
2.488, 36.11, 291, 2 3 3

Cell: 8.5940 8.6068 8.6361 Å, 60.19 61.08 60.06°
Space group P1 (No. 1)
Inequivalent atoms, fractional coordinates:
Ti 0.0000 0.0000 0.0000
Ti 0.1266 0.2892 0.2956
Ti 0.4962 0.5012 0.5014
Cr 0.0638 0.6437 0.6489
Cr 0.5605 0.1452 0.1490
Cr 0.6351 0.7865 0.7918
P 0.3146 0.1844 0.6075
P 0.3157 0.6008 0.8976
P 0.3186 0.8936 0.1862
P 0.8098 0.3959 0.1062
P 0.8121 0.6892 0.3991
P 0.8137 0.1012 0.6895
O 0.1344 0.7619 0.9584
O 0.1344 0.9521 0.1487
O 0.1359 0.1444 0.7701
O 0.2926 0.5890 0.7345
O 0.2990 0.3808 0.5897
O 0.3062 0.7289 0.3779
O 0.3162 0.2057 0.4173
O 0.3246 0.0590 0.2100
O 0.3288 0.4048 0.0631
O 0.4947 0.6364 0.8397
O 0.4945 0.8411 0.0277
O 0.4957 0.0256 0.6398
O 0.6327 0.2643 0.6510
O 0.6331 0.6476 0.4590
O 0.6339 0.4500 0.2686
O 0.7938 0.8845 0.2333
O 0.7988 0.2293 0.0892
O 0.8067 0.0865 0.8793
O 0.8222 0.5598 0.9163
O 0.8280 0.9068 0.7066
O 0.8334 0.7007 0.5623
O 0.9901 0.1431 0.5287
O 0.9914 0.3360 0.1463
O 0.9911 0.5298 0.3372